For Ce2Pr5N5, a crystal structure in Alexandria, relaxed with GGA-PBE gives the computed X-ray powder pattern in this record (Cu Ka).
Intensities are scaled so that the largest is 100.

Principal peaks in the range 5° ≤ 2θ ≤ 70°, low angle first:
| two_theta | I/Imax |
| --- | --- |
| 28.03 | 27 |
| 29.07 | 18 |
| 29.27 | 100 |
| 31.52 | 49 |
| 31.67 | 30 |
| 33.22 | 21 |
| 34.30 | 46 |
| 36.85 | 27 |
| 54.74 | 15 |
| 60.25 | 26 |

Cell and atoms:
```
data_Ce2Pr5N5
_cell_length_a 12.256
_cell_length_b 3.555
_cell_length_c 12.418
_cell_angle_alpha 90.00
_cell_angle_beta 109.11
_cell_angle_gamma 90.00
_symmetry_space_group_name_H-M 'C 1 2/m 1'
_symmetry_Int_Tables_number 12
loop_
_symmetry_equiv_pos_as_xyz
'x,y,z'
'-x,-y,-z'
'-x,y,-z'
'x,-y,z'
'x+1/2,y+1/2,z'
'-x+1/2,-y+1/2,-z'
'-x+1/2,y+1/2,-z'
'x+1/2,-y+1/2,z'
loop_
_atom_site_label
_atom_site_type_symbol
_atom_site_fract_x
_atom_site_fract_y
_atom_site_fract_z
_atom_site_occupancy
Ce1 Ce 0.042 0.000 0.298 1
Pr1 Pr 0.000 0.500 0.000 1
Pr2 Pr 0.154 0.500 0.565 1
Pr3 Pr 0.223 0.500 0.875 1
N1 N 0.000 0.000 0.500 1
N2 N 0.118 0.000 0.930 1
N3 N 0.163 0.500 0.374 1
```

---

For CePr2ReN4, a crystal structure in Alexandria, relaxed with GGA-PBE gives the computed X-ray powder pattern in this record (Cu Ka).
Intensities are scaled so that the largest is 100.

Principal peaks in the range 5° ≤ 2θ ≤ 70°, low angle first:
| two_theta | I/Imax |
| --- | --- |
| 16.40 | 21 |
| 29.11 | 46 |
| 29.68 | 56 |
| 30.19 | 93 |
| 34.42 | 18 |
| 36.99 | 100 |
| 39.66 | 24 |
| 42.06 | 30 |
| 51.93 | 18 |
| 61.92 | 22 |

Cell and atoms:
```
data_CePr2ReN4
_cell_length_a 3.522
_cell_length_b 12.039
_cell_length_c 12.271
_cell_angle_alpha 90.00
_cell_angle_beta 90.00
_cell_angle_gamma 90.00
_symmetry_space_group_name_H-M 'C m c m'
_symmetry_Int_Tables_number 63
_symmetry_space_group_name_Hall '-C 2c 2'
loop_
_atom_site_label
_atom_site_type_symbol
_atom_site_fract_x
_atom_site_fract_y
_atom_site_fract_z
_atom_site_occupancy
Ce1 Ce 0.000 0.119 0.250 1
Pr1 Pr 0.000 0.367 0.041 1
Re1 Re 0.000 0.149 0.750 1
N1 N 0.000 0.000 0.000 1
N2 N 0.000 0.274 0.641 1
N3 N 0.000 0.429 0.250 1
```

---

For Ce2PrRhN4, a crystal structure in Alexandria, relaxed with GGA-PBE gives the computed X-ray powder pattern in this record (Cu Ka).
Intensities are scaled so that the largest is 100.

Principal peaks in the range 5° ≤ 2θ ≤ 70°, low angle first:
| two_theta | I/Imax |
| --- | --- |
| 27.08 | 50 |
| 29.88 | 60 |
| 30.21 | 29 |
| 30.90 | 100 |
| 35.21 | 24 |
| 37.67 | 86 |
| 48.80 | 22 |
| 51.96 | 19 |
| 53.05 | 19 |
| 62.08 | 22 |

Cell and atoms:
```
data_Ce2PrRhN4
_cell_length_a 3.452
_cell_length_b 11.963
_cell_length_c 11.835
_cell_angle_alpha 90.00
_cell_angle_beta 90.00
_cell_angle_gamma 90.00
_symmetry_space_group_name_H-M 'C m c m'
_symmetry_Int_Tables_number 63
_symmetry_space_group_name_Hall '-C 2c 2'
loop_
_atom_site_label
_atom_site_type_symbol
_atom_site_fract_x
_atom_site_fract_y
_atom_site_fract_z
_atom_site_occupancy
Ce1 Ce 0.000 0.130 0.053 1
Pr1 Pr 0.000 0.390 0.250 1
Rh1 Rh 0.000 0.349 0.750 1
N1 N 0.000 0.046 0.250 1
N2 N 0.000 0.228 0.618 1
N3 N 0.000 0.500 0.000 1
```

---

For CePrSN, a crystal structure in Alexandria, relaxed with GGA-PBE gives the computed X-ray powder pattern in this record (Cu Ka).
Intensities are scaled so that the largest is 100.

Principal peaks in the range 5° ≤ 2θ ≤ 70°, low angle first:
| two_theta | I/Imax |
| --- | --- |
| 27.51 | 22 |
| 28.76 | 76 |
| 32.97 | 100 |
| 35.83 | 13 |
| 46.51 | 28 |
| 48.11 | 37 |
| 56.32 | 20 |
| 57.02 | 12 |
| 59.56 | 18 |
| 65.59 | 11 |

Cell and atoms:
```
data_CePrSN
_cell_length_a 3.7825
_cell_length_b 3.7825
_cell_length_c 19.4536
_cell_angle_alpha 90.00
_cell_angle_beta 90.00
_cell_angle_gamma 120.00
_symmetry_space_group_name_H-M 'R 3 m'
_symmetry_Int_Tables_number 160
_symmetry_space_group_name_Hall 'R 3 -2"'
loop_
_atom_site_label
_atom_site_type_symbol
_atom_site_fract_x
_atom_site_fract_y
_atom_site_fract_z
_atom_site_occupancy
Ce1 Ce 0.0000 0.0000 0.0000 1
Pr1 Pr 0.0000 0.0000 0.4752 1
S1 S 0.0000 0.0000 0.2396 1
N1 N 0.0000 0.0000 0.7299 1
```

---

For CePrTaN4, a crystal structure in Alexandria, relaxed with GGA-PBE gives the computed X-ray powder pattern in this record (Cu Ka).
Intensities are scaled so that the largest is 100.

Principal peaks in the range 5° ≤ 2θ ≤ 70°, low angle first:
| two_theta | I/Imax |
| --- | --- |
| 14.18 | 15 |
| 30.79 | 100 |
| 31.16 | 32 |
| 31.28 | 32 |
| 42.52 | 15 |
| 44.74 | 29 |
| 54.49 | 14 |
| 55.22 | 20 |
| 55.37 | 20 |
| 64.15 | 11 |

Cell and atoms:
```
data_CePrTaN4
_cell_length_a 5.719
_cell_length_b 12.490
_cell_length_c 5.740
_cell_angle_alpha 90.00
_cell_angle_beta 90.00
_cell_angle_gamma 90.00
_symmetry_space_group_name_H-M 'C m c m'
_symmetry_Int_Tables_number 63
_symmetry_space_group_name_Hall '-C 2c 2'
loop_
_atom_site_label
_atom_site_type_symbol
_atom_site_fract_x
_atom_site_fract_y
_atom_site_fract_z
_atom_site_occupancy
Ce1 Ce 0.000 0.103 0.250 1
Pr1 Pr 0.000 0.391 0.250 1
Ta1 Ta 0.000 0.262 0.750 1
N1 N 0.000 0.067 0.750 1
N2 N 0.000 0.420 0.750 1
N3 N 0.250 0.250 0.000 1
```

---

For CePrTcN4, a crystal structure in Alexandria, relaxed with GGA-PBE gives the computed X-ray powder pattern in this record (Cu Ka).
Intensities are scaled so that the largest is 100.

Principal peaks in the range 5° ≤ 2θ ≤ 70°, low angle first:
| two_theta | I/Imax |
| --- | --- |
| 31.28 | 100 |
| 32.65 | 29 |
| 32.87 | 29 |
| 42.54 | 19 |
| 47.00 | 27 |
| 54.66 | 8 |
| 54.80 | 8 |
| 57.41 | 18 |
| 57.69 | 18 |
| 65.28 | 14 |

Cell and atoms:
```
data_CePrTcN4
_cell_length_a 5.450
_cell_length_b 12.742
_cell_length_c 5.486
_cell_angle_alpha 90.00
_cell_angle_beta 90.00
_cell_angle_gamma 90.00
_symmetry_space_group_name_H-M 'C m c m'
_symmetry_Int_Tables_number 63
_symmetry_space_group_name_Hall '-C 2c 2'
loop_
_atom_site_label
_atom_site_type_symbol
_atom_site_fract_x
_atom_site_fract_y
_atom_site_fract_z
_atom_site_occupancy
Ce1 Ce 0.000 0.102 0.250 1
Pr1 Pr 0.000 0.396 0.250 1
Tc1 Tc 0.000 0.260 0.750 1
N1 N 0.000 0.068 0.750 1
N2 N 0.000 0.419 0.750 1
N3 N 0.250 0.250 0.000 1
```

---

For CePr2TcN5, a crystal structure in Alexandria, relaxed with GGA-PBE gives the computed X-ray powder pattern in this record (Cu Ka).
Intensities are scaled so that the largest is 100.

Principal peaks in the range 5° ≤ 2θ ≤ 70°, low angle first:
| two_theta | I/Imax |
| --- | --- |
| 30.27 | 46 |
| 30.42 | 100 |
| 31.00 | 40 |
| 37.24 | 24 |
| 37.60 | 47 |
| 41.83 | 13 |
| 49.21 | 21 |
| 49.50 | 15 |
| 54.78 | 21 |
| 56.14 | 25 |

Cell and atoms:
```
data_CePr2TcN5
_cell_length_a 6.829
_cell_length_b 6.829
_cell_length_c 11.540
_cell_angle_alpha 90.00
_cell_angle_beta 90.00
_cell_angle_gamma 90.00
_symmetry_space_group_name_H-M 'I 4/m c m'
_symmetry_Int_Tables_number 140
_symmetry_space_group_name_Hall '-I 4 2c'
loop_
_atom_site_label
_atom_site_type_symbol
_atom_site_fract_x
_atom_site_fract_y
_atom_site_fract_z
_atom_site_occupancy
Ce1 Ce 0.000 0.000 0.250 1
Pr1 Pr 0.172 0.328 0.000 1
Tc1 Tc 0.000 0.500 0.250 1
N1 N 0.000 0.000 0.000 1
N2 N 0.149 0.351 0.350 1
```

---

For Ce3Pr2UN6, a crystal structure in Alexandria, relaxed with GGA-PBE gives the computed X-ray powder pattern in this record (Cu Ka).
Intensities are scaled so that the largest is 100.

Principal peaks in the range 5° ≤ 2θ ≤ 70°, low angle first:
| two_theta | I/Imax |
| --- | --- |
| 30.56 | 34 |
| 30.63 | 100 |
| 35.49 | 95 |
| 51.04 | 44 |
| 51.13 | 22 |
| 60.67 | 26 |
| 60.76 | 36 |
| 63.62 | 6 |
| 63.74 | 11 |
| 63.85 | 6 |

Cell and atoms:
```
data_Ce3Pr2UN6
_cell_length_a 6.207
_cell_length_b 10.726
_cell_length_c 6.187
_cell_angle_alpha 90.00
_cell_angle_beta 109.52
_cell_angle_gamma 90.00
_symmetry_space_group_name_H-M 'C 1 2/m 1'
_symmetry_Int_Tables_number 12
loop_
_symmetry_equiv_pos_as_xyz
'x,y,z'
'-x,-y,-z'
'-x,y,-z'
'x,-y,z'
'x+1/2,y+1/2,z'
'-x+1/2,-y+1/2,-z'
'-x+1/2,y+1/2,-z'
'x+1/2,-y+1/2,z'
loop_
_atom_site_label
_atom_site_type_symbol
_atom_site_fract_x
_atom_site_fract_y
_atom_site_fract_z
_atom_site_occupancy
Ce1 Ce 0.000 0.000 0.000 1
Ce2 Ce 0.000 0.333 0.000 1
Pr1 Pr 0.000 0.167 0.500 1
U1 U 0.000 0.500 0.500 1
N1 N 0.215 0.500 0.252 1
N2 N 0.228 0.353 0.741 1
```

---

For Ce4PtN, a crystal structure in Alexandria, relaxed with GGA-PBE gives the computed X-ray powder pattern in this record (Cu Ka).
Intensities are scaled so that the largest is 100.

Principal peaks in the range 5° ≤ 2θ ≤ 70°, low angle first:
| two_theta | I/Imax |
| --- | --- |
| 30.88 | 21 |
| 32.55 | 57 |
| 32.84 | 52 |
| 33.11 | 20 |
| 34.32 | 100 |
| 34.98 | 39 |
| 37.08 | 34 |
| 38.98 | 20 |
| 52.47 | 19 |
| 56.82 | 20 |

Cell and atoms:
```
data_Ce4PtN
_cell_length_a 5.959
_cell_length_b 6.852
_cell_length_c 7.276
_cell_angle_alpha 72.36
_cell_angle_beta 68.56
_cell_angle_gamma 87.11
_symmetry_space_group_name_H-M 'P -1'
_symmetry_Int_Tables_number 2
loop_
_symmetry_equiv_pos_as_xyz
'x,y,z'
'-x,-y,-z'
loop_
_atom_site_label
_atom_site_type_symbol
_atom_site_fract_x
_atom_site_fract_y
_atom_site_fract_z
_atom_site_occupancy
Ce1 Ce 0.002 0.471 0.321 1
Ce2 Ce 0.178 0.968 0.325 1
Ce3 Ce 0.215 0.869 0.866 1
Ce4 Ce 0.395 0.356 0.855 1
Pt1 Pt 0.406 0.241 0.477 1
N1 N 0.000 0.500 0.000 1
N2 N 0.500 0.000 0.000 1
```

---

For CeY2PtN4, a crystal structure in Alexandria, relaxed with GGA-PBE gives the computed X-ray powder pattern in this record (Cu Ka).
Intensities are scaled so that the largest is 100.

Principal peaks in the range 5° ≤ 2θ ≤ 70°, low angle first:
| two_theta | I/Imax |
| --- | --- |
| 15.05 | 51 |
| 16.98 | 24 |
| 30.38 | 47 |
| 30.69 | 57 |
| 31.22 | 98 |
| 38.27 | 100 |
| 43.73 | 30 |
| 49.83 | 23 |
| 53.64 | 19 |
| 64.22 | 18 |

Cell and atoms:
```
data_CeY2PtN4
_cell_length_a 3.418
_cell_length_b 11.652
_cell_length_c 11.770
_cell_angle_alpha 90.00
_cell_angle_beta 90.00
_cell_angle_gamma 90.00
_symmetry_space_group_name_H-M 'C m c m'
_symmetry_Int_Tables_number 63
_symmetry_space_group_name_Hall '-C 2c 2'
loop_
_atom_site_label
_atom_site_type_symbol
_atom_site_fract_x
_atom_site_fract_y
_atom_site_fract_z
_atom_site_occupancy
Ce1 Ce 0.000 0.117 0.250 1
Y1 Y 0.000 0.372 0.048 1
Pt1 Pt 0.000 0.145 0.750 1
N1 N 0.000 0.000 0.000 1
N2 N 0.000 0.280 0.628 1
N3 N 0.000 0.462 0.250 1
```

---

For Ce2PuN4, a crystal structure in Alexandria, relaxed with GGA-PBE gives the computed X-ray powder pattern in this record (Cu Ka).
Intensities are scaled so that the largest is 100.

Principal peaks in the range 5° ≤ 2θ ≤ 70°, low angle first:
| two_theta | I/Imax |
| --- | --- |
| 17.42 | 17 |
| 30.43 | 87 |
| 30.82 | 100 |
| 40.89 | 8 |
| 43.85 | 41 |
| 51.79 | 10 |
| 54.01 | 9 |
| 54.21 | 17 |
| 54.36 | 31 |
| 61.26 | 25 |

Cell and atoms:
```
data_Ce2PuN4
_cell_length_a 5.887
_cell_length_b 10.159
_cell_length_c 3.531
_cell_angle_alpha 90.00
_cell_angle_beta 90.00
_cell_angle_gamma 90.00
_symmetry_space_group_name_H-M 'P b a m'
_symmetry_Int_Tables_number 55
loop_
_symmetry_equiv_pos_as_xyz
'x,y,z'
'-x,-y,-z'
'-x,-y,z'
'x,y,-z'
'x+1/2,-y+1/2,-z'
'-x+1/2,y+1/2,z'
'-x+1/2,y+1/2,-z'
'x+1/2,-y+1/2,z'
loop_
_atom_site_label
_atom_site_type_symbol
_atom_site_fract_x
_atom_site_fract_y
_atom_site_fract_z
_atom_site_occupancy
Ce1 Ce 0.053 0.173 0.000 1
Pu1 Pu 0.000 0.500 0.500 1
N1 N 0.156 0.696 0.500 1
N2 N 0.245 0.465 0.000 1
```

---

For Ce2Pu3N8, a crystal structure in Alexandria, relaxed with GGA-PBE gives the computed X-ray powder pattern in this record (Cu Ka).
Intensities are scaled so that the largest is 100.

Principal peaks in the range 5° ≤ 2θ ≤ 70°, low angle first:
| two_theta | I/Imax |
| --- | --- |
| 14.95 | 77 |
| 26.63 | 29 |
| 27.79 | 30 |
| 28.80 | 37 |
| 30.16 | 41 |
| 31.36 | 65 |
| 32.04 | 88 |
| 32.66 | 100 |
| 49.50 | 43 |
| 50.17 | 30 |

Cell and atoms:
```
data_Ce2Pu3N8
_cell_length_a 6.427
_cell_length_b 3.637
_cell_length_c 9.013
_cell_angle_alpha 90.00
_cell_angle_beta 108.32
_cell_angle_gamma 90.00
_symmetry_space_group_name_H-M 'P 1 2/m 1'
_symmetry_Int_Tables_number 10
loop_
_symmetry_equiv_pos_as_xyz
'x,y,z'
'-x,-y,-z'
'-x,y,-z'
'x,-y,z'
loop_
_atom_site_label
_atom_site_type_symbol
_atom_site_fract_x
_atom_site_fract_y
_atom_site_fract_z
_atom_site_occupancy
Ce1 Ce 0.250 0.000 0.188 1
Pu1 Pu 0.000 0.000 0.500 1
Pu2 Pu 0.259 0.500 0.834 1
N1 N 0.059 0.500 0.347 1
N2 N 0.131 0.000 0.916 1
N3 N 0.304 0.000 0.685 1
N4 N 0.390 0.500 0.107 1
```

---

For Ce4PuN5, a crystal structure in Alexandria, relaxed with GGA-PBE gives the computed X-ray powder pattern in this record (Cu Ka).
Intensities are scaled so that the largest is 100.

Principal peaks in the range 5° ≤ 2θ ≤ 70°, low angle first:
| two_theta | I/Imax |
| --- | --- |
| 7.02 | 11 |
| 14.07 | 3 |
| 25.33 | 3 |
| 30.81 | 100 |
| 35.65 | 24 |
| 35.76 | 48 |
| 51.41 | 50 |
| 61.05 | 15 |
| 61.19 | 30 |
| 64.18 | 17 |

Cell and atoms:
```
data_Ce4PuN5
_cell_length_a 3.551
_cell_length_b 3.551
_cell_length_c 25.181
_cell_angle_alpha 90.00
_cell_angle_beta 90.00
_cell_angle_gamma 90.00
_symmetry_space_group_name_H-M 'I 4/m m m'
_symmetry_Int_Tables_number 139
_symmetry_space_group_name_Hall '-I 4 2'
loop_
_atom_site_label
_atom_site_type_symbol
_atom_site_fract_x
_atom_site_fract_y
_atom_site_fract_z
_atom_site_occupancy
Ce1 Ce 0.000 0.000 0.099 1
Ce2 Ce 0.000 0.000 0.300 1
Pu1 Pu 0.000 0.000 0.500 1
N1 N 0.000 0.000 0.000 1
N2 N 0.000 0.000 0.200 1
N3 N 0.000 0.000 0.401 1
```